Ti3Fe9O16: theoretical X-ray powder pattern (Cu Kα), based on DFT lattice parameters and positions (GGA+U).
Intensities are scaled so that the largest is 100.

Structural model:
a b c (Å): 8.639 12.216 6.109
angles (deg): 90.00 90.00 90.00
Space group Pnnm (No. 58)
Unique sites:
Ti (0.000, 0.000, 0.000) x2
Ti (0.003, 0.250, 0.000) x4
Fe (0.000, 0.500, 0.000) x2
Fe (0.134, 0.371, 0.500) x4
Fe (0.138, 0.876, 0.500) x4
Fe (0.246, 0.623, 0.250) x8
O (0.001, 0.122, 0.216) x8
O (0.009, 0.359, 0.238) x8
O (0.225, 0.751, 0.000) x4
O (0.232, 0.237, 0.000) x4
O (0.235, 0.514, 0.000) x4
O (0.235, 0.997, 0.000) x4

Principal peaks in the range 2θ = 15–90°, sorted by position:
2theta, I (rel.)
29.24, 31
34.43, 100
41.83, 19
55.25, 35
60.64, 44
86.55, 16